The following is a computed powder diffraction line list of Cs2AsWF6. It was derived from a crystal structure in Alexandria, relaxed with PBE+U, using Cu Kα (λ = 1.5418 Å).
Peak positions follow from Bragg's law for the DFT cell and can differ from measured ones.

Crystal structure
a b c (Å): 7.305 7.305 7.305
angles (deg): 130.85 130.85 72.05
Element x y z (fractional)
Cs: 0.250 0.750 0.500
Cs: 0.750 0.250 0.500
As: 0.000 0.000 0.000
W: 0.500 0.500 0.000
F: 0.253 0.253 0.506
F: 0.253 0.747 0.000
F: 0.322 0.322 0.000
F: 0.678 0.678 0.000
F: 0.747 0.253 0.000
F: 0.747 0.747 0.494

Main lines, by angle (10 to 80 degrees two-theta):
2θ 16.40, I 17.3; 2θ 25.64, I 100.0; 2θ 29.40, I 33.1; 2θ 30.26, I 23.5; 2θ 42.06, I 21.8; 2θ 42.69, I 19.6; 2θ 49.91, I 32.6; 2θ 51.01, I 18.8; 2θ 52.68, I 19.0; 2θ 68.19, I 15.6; 2θ 69.59, I 8.1; 2θ 77.30, I 7.6